Computed powder diffractogram
Compound: Ba3Sb2
Radiation: CuKα
Structure: a DFT-relaxed cell (PBE, the Materials Project)
Peak positions follow from Bragg's law for the DFT cell and can differ from measured ones.

Main lines, by angle (15 to 90 degrees two-theta):
| 2theta | I (rel.) |
| --- | --- |
| 19.29 | 14 |
| 23.68 | 74 |
| 27.41 | 100 |
| 39.15 | 77 |
| 46.27 | 36 |
| 48.46 | 27 |
| 56.57 | 13 |
| 62.18 | 15 |
| 63.98 | 36 |
| 70.95 | 26 |

Crystal structure
abc: 6.5075 6.5075 6.5075
angles: 90.00 90.00 90.00
Element x y z (fractional)
Ba (0.0000, 0.0000, 0.5000)
Ba (0.0000, 0.5000, 0.0000)
Ba (0.5000, 0.0000, 0.0000)
Sb (0.0000, 0.0000, 0.0000)
Sb (0.5000, 0.5000, 0.5000)

Computed powder diffractogram
Compound: CeSe2
Radiation: CuKα
Structure: a DFT-relaxed cell (PBE, the Materials Project)
Peak positions follow from Bragg's law for the DFT cell and can differ from measured ones.

Main lines, by angle (15 to 90 degrees two-theta):
| 2theta | I (rel.) |
| --- | --- |
| 16.50 | 100 |
| 20.09 | 47 |
| 20.18 | 27 |
| 29.88 | 56 |
| 30.31 | 61 |
| 31.64 | 75 |
| 37.78 | 25 |
| 38.56 | 41 |
| 44.08 | 40 |
| 44.38 | 43 |

Crystal structure
abc: 9.4093 9.4093 9.2565
angles: 106.32 106.32 34.98
Element x y z (fractional)
Ce (0.1057, 0.1057, 0.1962)
Ce (0.2050, 0.2050, 0.8044)
Ce (0.7950, 0.7950, 0.1956)
Ce (0.8943, 0.8943, 0.8038)
Se (0.0595, 0.0595, 0.8706)
Se (0.1314, 0.1314, 0.5053)
Se (0.2623, 0.2623, 0.1467)
Se (0.3612, 0.3612, 0.7902)
Se (0.6388, 0.6388, 0.2098)
Se (0.7377, 0.7377, 0.8533)
Se (0.8686, 0.8686, 0.4947)
Se (0.9405, 0.9405, 0.1294)

Computed powder diffractogram
Compound: PdF4
Radiation: CuKα
Structure: a DFT-relaxed cell (PBE, the Materials Project)
Peak positions follow from Bragg's law for the DFT cell and can differ from measured ones.

Main lines, by angle (15 to 90 degrees two-theta):
| 2theta | I (rel.) |
| --- | --- |
| 19.78 | 100 |
| 26.65 | 49 |
| 33.22 | 24 |
| 33.60 | 22 |
| 35.13 | 11 |
| 35.30 | 15 |
| 40.19 | 11 |
| 43.24 | 12 |
| 52.61 | 15 |
| 53.00 | 19 |

Crystal structure
abc: 5.5821 5.5821 5.6494
angles: 106.87 106.87 114.37
Element x y z (fractional)
Pd (0.0000, 0.0000, 0.0000)
Pd (0.2417, 0.7541, 0.4983)
F (0.0010, 0.2989, 0.3049)
F (0.0116, 0.2375, 0.8143)
F (0.4036, 0.1965, 0.1763)
F (0.4410, 0.1599, 0.6797)
F (0.4795, 0.7634, 0.3136)
F (0.5393, 0.7541, 0.8044)
F (0.9336, 0.7266, 0.1754)
F (0.9680, 0.6942, 0.6831)

Computed powder diffractogram
Compound: MgInBr3
Radiation: CuKα
Structure: a DFT-relaxed cell (PBE, the Materials Project)
Peak positions follow from Bragg's law for the DFT cell and can differ from measured ones.

Main lines, by angle (15 to 90 degrees two-theta):
| 2theta | I (rel.) |
| --- | --- |
| 19.34 | 9 |
| 29.39 | 24 |
| 29.54 | 100 |
| 30.01 | 40 |
| 31.18 | 23 |
| 33.31 | 19 |
| 42.82 | 19 |
| 45.22 | 16 |
| 47.49 | 10 |
| 55.23 | 14 |

Crystal structure
abc: 9.6423 4.0105 15.6590
angles: 90.00 90.00 90.00
Element x y z (fractional)
Mg (0.1615, 0.2500, 0.0533)
Mg (0.3385, 0.7500, 0.5533)
Mg (0.6615, 0.2500, 0.4467)
Mg (0.8385, 0.7500, 0.9467)
In (0.0284, 0.7500, 0.3244)
In (0.4716, 0.2500, 0.8244)
In (0.5284, 0.7500, 0.1756)
In (0.9716, 0.2500, 0.6756)
Br (0.0201, 0.2500, 0.9009)
Br (0.1749, 0.2500, 0.4974)
Br (0.2262, 0.7500, 0.7066)
Br (0.2738, 0.2500, 0.2066)
Br (0.3251, 0.7500, 0.9974)
Br (0.4799, 0.7500, 0.4009)
Br (0.5201, 0.2500, 0.5991)
Br (0.6749, 0.2500, 0.0026)
Br (0.7262, 0.7500, 0.7934)
Br (0.7738, 0.2500, 0.2934)
Br (0.8251, 0.7500, 0.5026)
Br (0.9799, 0.7500, 0.0991)

Copy entry 2 word for word.
Computed powder diffractogram
Compound: CeSe2
Radiation: CuKα
Structure: a DFT-relaxed cell (PBE, the Materials Project)
Peak positions follow from Bragg's law for the DFT cell and can differ from measured ones.

Main lines, by angle (15 to 90 degrees two-theta):
| 2theta | I (rel.) |
| --- | --- |
| 16.50 | 100 |
| 20.09 | 47 |
| 20.18 | 27 |
| 29.88 | 56 |
| 30.31 | 61 |
| 31.64 | 75 |
| 37.78 | 25 |
| 38.56 | 41 |
| 44.08 | 40 |
| 44.38 | 43 |

Crystal structure
abc: 9.4093 9.4093 9.2565
angles: 106.32 106.32 34.98
Element x y z (fractional)
Ce (0.1057, 0.1057, 0.1962)
Ce (0.2050, 0.2050, 0.8044)
Ce (0.7950, 0.7950, 0.1956)
Ce (0.8943, 0.8943, 0.8038)
Se (0.0595, 0.0595, 0.8706)
Se (0.1314, 0.1314, 0.5053)
Se (0.2623, 0.2623, 0.1467)
Se (0.3612, 0.3612, 0.7902)
Se (0.6388, 0.6388, 0.2098)
Se (0.7377, 0.7377, 0.8533)
Se (0.8686, 0.8686, 0.4947)
Se (0.9405, 0.9405, 0.1294)